The following is a computed powder diffraction line list of Ba2AcZrO6. It was derived from a cell relaxed with PBE, using a wavelength of 1.5418 Å.
Intensities are scaled so that the largest is 100.

Largest 10 diffraction maxima, low angle first, 15 to 90 degrees two-theta:
two_theta	I/Imax
17.08	9
28.07	100
33.04	7
40.12	29
43.89	4
49.68	42
58.03	19
65.68	19
72.89	6
79.83	22

Structural model:
Lattice parameters (Å, degrees): 6.3574 6.3574 6.3574 60.00 60.00 60.00
Positions (direct):
Ba  0.2500  0.2500  0.2500
Ba  0.7500  0.7500  0.7500
Ac  0.0000  0.0000  0.0000
Zr  0.5000  0.5000  0.5000
O  0.2656  0.2656  0.7344
O  0.2656  0.7344  0.2656
O  0.2656  0.7344  0.7344
O  0.7344  0.2656  0.2656
O  0.7344  0.2656  0.7344
O  0.7344  0.7344  0.2656